1.
# Pr5Tl4
Theoretical X-ray powder pattern, Cu Kα, 1.54184 Å. Input: a structure optimized by DFT (PBE).
Lines closer than 0.1° are merged.

Largest 10 diffraction maxima, by angle, 2θ from 10° to 90°:
2θ/deg  I (rel.)
12.6  12.5
28.5  37.5
30.1  45.2
31.0  100.0
36.0  38.4
38.5  16.4
41.9  26.6
49.6  16.0
54.0  23.9
58.7  23.2

Structure:
```
9
Lattice="-4.9602 4.9602 2.9697 4.9602 -4.9602 2.9697 4.9602 4.9602 -2.9697" Properties=species:S:1:pos:R:3 pbc="T T T"
Pr 0.0000 0.0000 0.0000
Pr 6.2408 2.7453 0.0000
Pr 2.7453 3.6797 0.0000
Pr 2.2149 1.2805 2.9697
Pr -1.2805 2.2149 2.9697
Tl 3.3827 0.4278 0.0000
Tl 4.5324 -1.5776 2.9697
Tl 0.4278 6.5378 0.0000
Tl 1.5776 4.5324 2.9697
```

***

2.
# Pr2Tm3Tl
Theoretical X-ray powder pattern, Cu Kα, 1.54184 Å. Input: a structure optimized by DFT (PBE).
Lines closer than 0.1° are merged.

Largest 10 diffraction maxima, by angle, 2θ from 10° to 90°:
2θ/deg  I (rel.)
31.2  100.0
34.1  17.5
35.1  22.0
36.0  9.3
39.2  10.8
49.7  12.2
53.6  8.7
59.3  8.5
60.5  15.3
65.1  6.7

Structure:
```
12
Lattice="-2.5581 4.6015 7.8819 2.5581 -4.6015 7.8819 2.5581 4.6015 -7.8819" Properties=species:S:1:pos:R:3 pbc="T T T"
Pr 0.0000 2.3008 0.4162
Pr 2.5581 2.3008 2.7427
Pr 0.0000 2.3008 5.1391
Pr 2.5581 2.3008 7.4657
Tm 2.5581 0.0000 0.0000
Tm 2.5581 4.1966 -5.1852
Tm 2.5581 -0.4049 5.1852
Tm 0.0000 0.0000 7.8819
Tm 0.0000 5.0064 2.6966
Tm 0.0000 0.4049 13.0671
Tl 2.5581 2.3008 -2.2797
Tl 0.0000 2.3008 10.1616
```

***

3.
# Pr14TmTl
Theoretical X-ray powder pattern, Cu Kα, 1.54184 Å. Input: a structure optimized by DFT (PBE).
Lines closer than 0.1° are merged.

Largest 10 diffraction maxima, by angle, 2θ from 10° to 90°:
2θ/deg  I (rel.)
29.9  100.0
34.4  17.1
34.7  33.6
49.7  24.2
50.0  12.0
58.9  14.4
59.3  28.7
62.1  12.4
80.8  11.6
81.1  5.8

Structure:
```
16
Lattice="10.4225 0.0000 0.0000 0.0000 5.1640 5.1641 0.0000 -5.1640 5.1641" Properties=species:S:1:pos:R:3 pbc="T T T"
Pr 0.0000 0.0000 0.0000
Pr 0.0000 0.0000 5.1529
Pr 0.0000 -2.5836 7.7385
Pr 0.0000 2.5836 7.7385
Pr 2.6561 0.0000 7.7308
Pr 2.6699 0.0000 2.5850
Pr 2.6632 -2.5710 5.1568
Pr 2.6632 2.5710 5.1568
Pr 5.2113 -2.5745 7.7354
Pr 5.2113 2.5745 7.7354
Pr 7.7526 0.0000 2.5850
Pr 7.7593 -2.5710 5.1568
Pr 7.7593 2.5710 5.1568
Pr 7.7664 0.0000 7.7308
Tm 5.2113 0.0000 10.3193
Tl 5.2113 0.0000 5.1583
```

***

4.
# PrTm12Tl3
Theoretical X-ray powder pattern, Cu Kα, 1.54184 Å. Input: a structure optimized by DFT (PBE).
Lines closer than 0.1° are merged.

Largest 10 diffraction maxima, by angle, 2θ from 10° to 90°:
2θ/deg  I (rel.)
32.0  100.0
36.5  16.6
37.3  33.6
53.2  22.8
53.8  11.9
62.9  12.7
64.0  27.9
66.8  11.6
87.4  10.7
88.4  6.1

Structure:
```
16
Lattice="4.8156 0.0000 0.0000 0.0000 4.8156 0.0000 0.0000 0.0000 19.6730" Properties=species:S:1:pos:R:3 pbc="T T T"
Pr 0.0000 0.0000 0.0000
Tm 0.0000 2.4078 2.5960
Tm 0.0000 2.4078 7.4338
Tm 0.0000 2.4078 12.2393
Tm 0.0000 2.4078 17.0770
Tm 2.4078 0.0000 2.5960
Tm 2.4078 0.0000 7.4338
Tm 2.4078 0.0000 12.2393
Tm 2.4078 0.0000 17.0770
Tm 2.4078 2.4078 0.0000
Tm 2.4078 2.4078 5.0481
Tm 2.4078 2.4078 9.8365
Tm 2.4078 2.4078 14.6249
Tl 0.0000 0.0000 5.0609
Tl 0.0000 0.0000 9.8365
Tl 0.0000 0.0000 14.6122
```

***

5.
# Pr2Tm5Tl4
Theoretical X-ray powder pattern, Cu Kα, 1.54184 Å. Input: a structure optimized by DFT (PBE).
Lines closer than 0.1° are merged.

Largest 10 diffraction maxima, by angle, 2θ from 10° to 90°:
2θ/deg  I (rel.)
28.7  45.5
30.6  48.9
31.3  32.3
31.7  29.4
33.6  100.0
34.0  50.5
36.1  47.6
37.2  41.2
37.4  36.7
48.7  33.6

Structure:
```
11
Lattice="-1.7475 4.2078 11.7018 1.7475 -4.2078 11.7018 1.7475 4.2078 -11.7018" Properties=species:S:1:pos:R:3 pbc="T T T"
Pr 0.0000 0.0000 5.4663
Pr 0.0000 0.0000 17.9372
Tm 1.7475 2.5706 -3.1043
Tm 1.7475 2.5706 3.1043
Tm 0.0000 4.2078 0.0000
Tm 0.0000 1.6371 8.5974
Tm 0.0000 1.6371 14.8061
Tl 0.0000 0.0000 2.2536
Tl 1.7475 1.5877 0.0000
Tl 0.0000 2.6200 11.7018
Tl 0.0000 0.0000 21.1499
```

***

6.
# Pr6TmTl6
Theoretical X-ray powder pattern, Cu Kα, 1.54184 Å. Input: a structure optimized by DFT (PBE).
Lines closer than 0.1° are merged.

Largest 10 diffraction maxima, by angle, 2θ from 10° to 90°:
2θ/deg  I (rel.)
25.5  32.4
30.0  100.0
30.8  27.7
31.2  39.3
34.3  25.2
34.6  73.7
36.4  22.1
41.7  24.5
54.9  24.5
60.9  27.3

Structure:
```
13
Lattice="3.4910 -5.7227 0.0000 3.4910 5.7227 0.0000 0.0000 0.0000 10.4662" Properties=species:S:1:pos:R:3 pbc="T T T"
Pr 0.0000 0.0000 2.0194
Pr 0.0000 0.0000 8.4468
Pr 1.7455 2.8614 2.9461
Pr 1.7455 2.8614 7.5201
Pr 1.7455 -2.8614 2.9461
Pr 1.7455 -2.8614 7.5201
Tm 3.4910 0.0000 5.2331
Tl 3.4910 4.2538 5.2331
Tl 3.4910 2.7678 0.0000
Tl 3.4910 0.0000 2.0580
Tl 3.4910 0.0000 8.4083
Tl 3.4910 -2.7678 0.0000
Tl 3.4910 -4.2538 5.2331
```

***

7.
# PrTm6Tl
Theoretical X-ray powder pattern, Cu Kα, 1.54184 Å. Input: a structure optimized by DFT (PBE).
Lines closer than 0.1° are merged.

Largest 10 diffraction maxima, by angle, 2θ from 10° to 90°:
2θ/deg  I (rel.)
30.3  22.8
30.8  30.6
32.0  83.8
33.0  100.0
33.3  59.7
35.1  58.6
46.0  20.5
58.7  20.1
62.4  32.4
62.6  19.6

Structure:
```
16
Lattice="5.3851 0.0000 0.0000 0.0000 3.5581 0.0000 0.0000 0.0000 25.1627" Properties=species:S:1:pos:R:3 pbc="T T T"
Pr 0.0000 0.0000 0.0000
Pr 0.0000 1.7790 12.5813
Tm 0.0000 0.0000 6.1397
Tm 0.0000 0.0000 15.6920
Tm 0.0000 0.0000 21.8037
Tm 0.0000 1.7790 3.1106
Tm 0.0000 1.7790 9.2223
Tm 0.0000 1.7790 18.7211
Tm 2.6925 0.0000 2.0418
Tm 2.6925 0.0000 11.1766
Tm 2.6925 0.0000 17.6621
Tm 2.6925 1.7790 5.0808
Tm 2.6925 1.7790 14.6231
Tm 2.6925 1.7790 23.7579
Tl 2.6925 0.0000 7.9826
Tl 2.6925 1.7790 20.5639
```

***

8.
# Pr5Y6Tl
Theoretical X-ray powder pattern, Cu Kα, 1.54184 Å. Input: a structure optimized by DFT (PBE).
Lines closer than 0.1° are merged.

Largest 10 diffraction maxima, by angle, 2θ from 10° to 90°:
2θ/deg  I (rel.)
17.4  5.7
24.8  5.1
30.5  100.0
35.3  50.3
50.8  35.2
60.4  41.4
63.4  11.9
82.7  16.6
85.3  7.6
85.4  7.8

Structure:
```
12
Lattice="-2.5406 5.0824 7.6336 2.5406 -5.0824 7.6336 2.5406 5.0824 -7.6336" Properties=species:S:1:pos:R:3 pbc="T T T"
Pr 0.0000 0.0000 0.0000
Pr 2.5406 0.0000 2.4810
Pr 0.0000 0.0000 5.0414
Pr 0.0000 0.0000 10.2257
Pr 0.0000 5.0824 5.1525
Y 2.5406 -2.4822 5.1275
Y 2.5406 2.6258 0.0000
Y 0.0000 2.6002 2.5061
Y 2.5406 2.4822 5.1275
Y 0.0000 2.4566 7.6336
Y 0.0000 7.5646 2.5061
Tl 0.0000 5.0824 0.0000
```

***

9.
# Pr6Y3Tl
Theoretical X-ray powder pattern, Cu Kα, 1.54184 Å. Input: a structure optimized by DFT (PBE).
Lines closer than 0.1° are merged.

Largest 10 diffraction maxima, by angle, 2θ from 10° to 90°:
2θ/deg  I (rel.)
28.7  24.1
29.5  33.7
30.3  68.4
30.9  57.2
31.1  100.0
32.8  25.9
33.0  33.7
33.4  25.9
49.9  21.7
55.9  20.2

Structure:
```
20
Lattice="12.5616 0.0000 0.0000 0.0000 3.6563 0.0000 -1.0294 0.0000 15.0431" Properties=species:S:1:pos:R:3 pbc="T T T"
Pr 0.3871 0.9141 5.9119
Pr 0.5157 2.7422 14.3715
Pr 1.7375 0.9141 11.2983
Pr 3.3849 2.7422 4.7036
Pr 3.8046 0.9141 1.6191
Pr 4.3620 0.9141 7.4782
Pr 7.1702 2.7422 7.5649
Pr 7.7276 2.7422 13.4240
Pr 8.1473 0.9141 10.3395
Pr 9.7947 2.7422 3.7448
Pr 11.0165 0.9141 0.6716
Pr 11.1451 2.7422 9.1312
Y 0.7288 2.7422 2.7481
Y 4.0677 2.7422 13.8154
Y 4.9027 2.7422 10.4903
Y 6.6295 0.9141 4.5528
Y 7.4645 0.9141 1.2277
Y 10.8034 0.9141 12.2950
Tl 1.8246 2.7422 8.4158
Tl 9.7076 0.9141 6.6273
```

***

10.
# Pr2Y8Tl
Theoretical X-ray powder pattern, Cu Kα, 1.54184 Å. Input: a structure optimized by DFT (PBE).
Lines closer than 0.1° are merged.

Largest 10 diffraction maxima, by angle, 2θ from 10° to 90°:
2θ/deg  I (rel.)
29.6  26.2
30.2  9.0
31.8  63.5
31.9  100.0
37.5  10.5
44.0  17.5
47.3  10.7
56.7  11.1
56.9  12.2
58.2  13.1

Structure:
```
11
Lattice="9.8094 -2.8078 0.0000 9.8094 2.8078 0.0000 -0.5672 0.0000 6.5101" Properties=species:S:1:pos:R:3 pbc="T T T"
Pr 4.5915 0.0000 2.1774
Pr 14.4601 0.0000 4.3328
Y 0.7011 0.0000 1.7444
Y 2.5311 0.0000 5.2680
Y 6.1751 0.0000 5.7033
Y 8.0617 0.0000 2.5996
Y 10.9899 0.0000 3.9106
Y 12.8765 0.0000 0.8069
Y 16.5205 0.0000 1.2421
Y 18.3505 0.0000 4.7658
Tl 9.8094 0.0000 0.0000
```

***

11.
# Pr5Y8Tl
Theoretical X-ray powder pattern, Cu Kα, 1.54184 Å. Input: a structure optimized by DFT (PBE).
Lines closer than 0.1° are merged.

Largest 10 diffraction maxima, by angle, 2θ from 10° to 90°:
2θ/deg  I (rel.)
21.4  24.6
24.4  13.4
27.1  37.0
31.9  100.0
33.3  52.4
34.1  30.0
43.5  15.8
48.4  10.7
49.9  12.6
54.5  10.9

Structure:
```
14
Lattice="-5.3682 5.3682 4.1668 5.3682 -5.3682 4.1668 5.3682 5.3682 -4.1668" Properties=species:S:1:pos:R:3 pbc="T T T"
Pr 0.0000 0.0000 0.0000
Pr 5.3911 3.2317 -0.6823
Pr 3.2317 5.3454 0.6823
Pr 2.1366 0.0229 4.8491
Pr -0.0229 2.1366 3.4845
Y 3.1473 -2.2901 2.0871
Y 7.6584 -2.2209 2.0797
Y 0.0038 3.6515 0.6668
Y 3.0781 2.2209 2.0797
Y 7.5892 2.2901 2.0871
Y -0.0038 7.0850 0.6668
Y -1.7168 5.3645 3.5000
Y 1.7168 5.3720 3.5000
Tl 5.3682 0.0000 2.0834
```

***

12.
# Pr12Y3Tl
Theoretical X-ray powder pattern, Cu Kα, 1.54184 Å. Input: a structure optimized by DFT (PBE).
Lines closer than 0.1° are merged.

Largest 10 diffraction maxima, by angle, 2θ from 10° to 90°:
2θ/deg  I (rel.)
30.0  100.0
34.4  17.2
34.9  33.4
49.8  24.0
50.2  12.1
58.9  14.3
59.6  28.3
62.3  12.2
81.0  11.4
81.6  5.7

Structure:
```
16
Lattice="5.1380 0.0000 0.0000 0.0000 5.1380 0.0000 0.0000 0.0000 20.8615" Properties=species:S:1:pos:R:3 pbc="T T T"
Pr 0.0000 0.0000 0.0000
Pr 0.0000 0.0000 5.1612
Pr 0.0000 0.0000 10.4308
Pr 0.0000 0.0000 15.7003
Pr 0.0000 2.5690 2.5305
Pr 0.0000 2.5690 7.8001
Pr 0.0000 2.5690 13.0614
Pr 0.0000 2.5690 18.3310
Pr 2.5690 0.0000 2.5305
Pr 2.5690 0.0000 7.8001
Pr 2.5690 0.0000 13.0614
Pr 2.5690 0.0000 18.3310
Y 2.5690 2.5690 5.1867
Y 2.5690 2.5690 10.4308
Y 2.5690 2.5690 15.6748
Tl 2.5690 2.5690 0.0000
```